Record 1
The following is a computed X-ray diffraction stick pattern of NaSb2Pt4. It was derived from a DFT-relaxed cell (GGA-PBE, Alexandria), using λ = 1.5418 Å (Cu Kα).
No peak broadening, texture or thermal motion is included.

Atomic structure:
Unit cell a=8.1464 b=8.1464 c=4.2003 alpha=90.00 beta=90.00 gamma=90.00
Positions (direct):
Na (0.0000, 0.0000, 0.0000)
Na (0.5000, 0.5000, 0.5000)
Sb (0.2228, 0.2228, 0.5000)
Sb (0.2772, 0.7228, 0.0000)
Sb (0.7228, 0.2772, 0.0000)
Sb (0.7772, 0.7772, 0.5000)
Pt (0.0832, 0.6607, 0.5000)
Pt (0.1607, 0.4168, 0.0000)
Pt (0.3393, 0.9168, 0.5000)
Pt (0.4168, 0.1607, 0.0000)
Pt (0.5832, 0.8393, 0.0000)
Pt (0.6607, 0.0832, 0.5000)
Pt (0.8393, 0.5832, 0.0000)
Pt (0.9168, 0.3393, 0.5000)

Most intense lines, 5° ≤ 2θ ≤ 70°, in order of rising 2θ:
d 5.760, intensity 94.8
d 2.752, intensity 59.0
d 2.375, intensity 80.0
d 2.196, intensity 100.0
d 2.100, intensity 38.2
d 1.975, intensity 52.7

=====

Record 2
The following is a computed X-ray diffraction stick pattern of Na2Sb3Pt2. It was derived from a DFT-relaxed cell (GGA-PBE, Alexandria), using λ = 1.5418 Å (Cu Kα).
No peak broadening, texture or thermal motion is included.

Atomic structure:
Unit cell a=11.1423 b=4.2511 c=7.9548 alpha=90.00 beta=115.66 gamma=90.00
Positions (direct):
Na (0.1647, 0.0000, 0.3170)
Na (0.3353, 0.5000, 0.6830)
Na (0.6647, 0.5000, 0.3170)
Na (0.8353, 0.0000, 0.6830)
Sb (0.0000, 0.5000, 0.5000)
Sb (0.1236, 0.5000, 0.9599)
Sb (0.3764, 0.0000, 0.0401)
Sb (0.5000, 0.0000, 0.5000)
Sb (0.6236, 0.0000, 0.9599)
Sb (0.8764, 0.5000, 0.0401)
Pt (0.1305, 0.0000, 0.7537)
Pt (0.3695, 0.5000, 0.2463)
Pt (0.6305, 0.5000, 0.7537)
Pt (0.8695, 0.0000, 0.2463)

Most intense lines, 5° ≤ 2θ ≤ 70°, in order of rising 2θ:
d 5.341, intensity 100.0
d 2.899, intensity 45.5
d 2.580, intensity 23.0
d 2.446, intensity 37.5
d 2.175, intensity 25.7
d 2.126, intensity 22.8

=====

Record 3
The following is a computed X-ray diffraction stick pattern of NaPtSe. It was derived from a DFT-relaxed cell (GGA-PBE, Alexandria), using λ = 1.5418 Å (Cu Kα).
No peak broadening, texture or thermal motion is included.

Atomic structure:
Unit cell a=5.1769 b=3.7799 c=7.3563 alpha=90.00 beta=101.80 gamma=90.00
Positions (direct):
Na (0.1337, 0.0000, 0.2743)
Na (0.8663, 0.0000, 0.7257)
Pt (0.5000, 0.0000, 0.0000)
Pt (0.5000, 0.5000, 0.5000)
Se (0.3393, 0.5000, 0.7838)
Se (0.6607, 0.5000, 0.2162)

Most intense lines, 5° ≤ 2θ ≤ 70°, in order of rising 2θ:
d 5.067, intensity 100.0
d 3.347, intensity 45.3
d 3.267, intensity 29.8
d 2.678, intensity 62.9
d 2.026, intensity 24.3
d 2.005, intensity 29.5

=====

Record 4
The following is a computed X-ray diffraction stick pattern of NaPt4Se8. It was derived from a DFT-relaxed cell (GGA-PBE, Alexandria), using λ = 1.5418 Å (Cu Kα).
No peak broadening, texture or thermal motion is included.

Atomic structure:
Unit cell a=8.3202 b=8.3202 c=8.3202 alpha=53.90 beta=53.90 gamma=53.90
Positions (direct):
Na (0.0000, 0.0000, 0.0000)
Pt (0.0000, 0.0000, 0.5000)
Pt (0.0000, 0.5000, 0.0000)
Pt (0.5000, 0.0000, 0.0000)
Pt (0.5000, 0.5000, 0.5000)
Se (0.2231, 0.7310, 0.7310)
Se (0.2283, 0.2283, 0.2283)
Se (0.2690, 0.2690, 0.7769)
Se (0.2690, 0.7769, 0.2690)
Se (0.7310, 0.2231, 0.7310)
Se (0.7310, 0.7310, 0.2231)
Se (0.7717, 0.7717, 0.7717)
Se (0.7769, 0.2690, 0.2690)

Most intense lines, 5° ≤ 2θ ≤ 70°, in order of rising 2θ:
d 7.090, intensity 100.0
d 3.228, intensity 20.5
d 2.783, intensity 58.2
d 2.225, intensity 27.5
d 1.885, intensity 21.3
d 1.822, intensity 18.8

=====

> What is the formula in the fourth record?

NaPt4Se8